# DyHo2Fe6Co2Ni
Theoretical powder diffraction line list, Cu Kα X-rays. Input: DFT lattice parameters and positions (PBE).
Neutral-atom scattering factors, no anomalous dispersion.

Most intense lines, 2θ = 15–90°, in order of rising 2θ:
2θ (°), intensity, index
20.89, 11, 1 0 1
32.89, 48, 1 0 7
35.89, 34, 0 1 8
36.03, 52, 1 1 0
42.01, 33, 0 2 1
42.46, 100, 1 1 6
45.75, 11, 0 1 11
62.79, 15, 2 1 7
64.72, 21, 3 0 0
68.98, 12, 2 0 14
69.18, 22, 3 0 6
76.41, 18, 2 2 0

Crystal structure
```
data_DyHo2Fe6Co2Ni
_cell_length_a 4.9861
_cell_length_b 4.9861
_cell_length_c 24.5584
_cell_angle_alpha 90.00
_cell_angle_beta 90.00
_cell_angle_gamma 120.00
_symmetry_space_group_name_H-M 'R -3 m'
_symmetry_Int_Tables_number 166
_symmetry_space_group_name_Hall '-R 3 2"'
loop_
_atom_site_label
_atom_site_fract_x
_atom_site_fract_y
_atom_site_fract_z
Dy1 0.0000 0.0000 0.0000
Ho1 0.0000 0.0000 0.1418
Fe1 0.0020 0.5010 0.9187
Co1 0.0000 0.0000 0.3329
Ni1 0.0000 0.0000 0.5000
```